Calculated powder XRD pattern
Compound: CrFeB2
Radiation: Cu Kα
Structure: a structure optimized by DFT (GGA-PBE)

Structure:
Lattice parameters (Å, degrees): 2.932 2.939 7.675 90.00 90.00 90.00
Space group Amm2 (No. 38)
One atom of each set of equivalent atoms:
Cr (0.000, 0.000, 0.000)
Fe (0.500, 0.000, 0.715)
B (0.000, 0.000, 0.290)
B (0.500, 0.000, 0.425)

Peak list (10 most intense, 2θ from 15° to 90°, by intensity)
index  2theta  d (Å)  intensity
1 1 1  45.3  2.004  100
1 0 2  38.6  2.330  89
0 1 3  47.1  1.930  55
0 1 1  32.6  2.745  46
2 1 3  82.7  1.167  27
0 0 4  47.4  1.919  26
1 1 3  57.1  1.612  21
1 2 2  76.7  1.243  20
1 1 5  77.3  1.234  19
0 2 0  63.3  1.470  15